This entry pairs a crystal structure of BaIn12Rh6 with its computed powder diffraction line list. Radiation: Cu Ka. Structure: a cell relaxed with GGA-PBE.

Main lines, by angle (2θ = 15–90°):
2theta, I (rel.)
31.26, 100
32.02, 54
37.44, 57
38.08, 74
42.01, 40
43.40, 29
46.16, 59
57.99, 39

Crystal structure
Unit cell a=7.8688 b=7.8688 c=7.8688 alpha=105.28 beta=105.28 gamma=105.28
Fractional positions:
1 Ba 0.0000 0.0000 0.0000
2 In 0.1217 0.5000 0.8783
3 In 0.1217 0.8783 0.5000
4 In 0.1557 0.4216 0.4216
5 In 0.4216 0.1557 0.4216
6 In 0.4216 0.4216 0.1557
7 In 0.5000 0.1217 0.8783
8 In 0.5000 0.8783 0.1217
9 In 0.5784 0.5784 0.8443
10 In 0.5784 0.8443 0.5784
11 In 0.8443 0.5784 0.5784
12 In 0.8783 0.1217 0.5000
13 In 0.8783 0.5000 0.1217
14 Rh 0.2645 0.2645 0.6841
15 Rh 0.2645 0.6841 0.2645
16 Rh 0.3159 0.7355 0.7355
17 Rh 0.6841 0.2645 0.2645
18 Rh 0.7355 0.3159 0.7355
19 Rh 0.7355 0.7355 0.3159